1.
Simulated powder diffractogram of Al2HgS4 for Cu Kα (λ = 1.5418 Å), from the PBE geometry in Alexandria.
Neutral-atom scattering factors, no anomalous dispersion.

Peak list (10 most intense, 2θ = 15–90°, low angle first)
d [Å], I (rel.)
3.676, 100.0
3.135, 84.0
2.385, 31.9
2.122, 42.3
2.001, 44.1
1.838, 45.6
1.644, 17.6
1.389, 26.0
1.353, 18.5
1.225, 13.5

Cell and atoms:
```
14
Lattice="0.0000 5.1981 5.1981 5.1981 0.0000 5.1981 5.1981 5.1981 0.0000" Properties=species:S:1:pos:R:3 pbc="T T T"
Al 0.0000 0.0000 0.0000
Al 2.5991 2.5991 0.0000
Al 2.5991 0.0000 2.5991
Al 0.0000 2.5991 2.5991
Hg 3.8986 3.8986 3.8986
Hg 6.4976 6.4976 6.4976
S 7.9580 5.0372 5.0372
S 2.4382 2.4382 2.4382
S 5.3590 5.3590 2.4382
S 5.3590 2.4382 5.3590
S 5.0372 7.9580 5.0372
S 5.0372 5.0372 7.9580
S 7.9580 7.9580 7.9580
S 2.4382 5.3590 5.3590
```

=====

2.
Simulated powder diffractogram of Ac6Pm2Nd3 for Cu Kα (λ = 1.5418 Å), from the PBE geometry in Alexandria.
Neutral-atom scattering factors, no anomalous dispersion.

Peak list (10 most intense, 2θ = 15–90°, low angle first)
d [Å], I (rel.)
3.136, 100.0
3.000, 29.4
2.685, 66.2
1.932, 25.8
1.867, 22.8
1.645, 15.6
1.624, 29.6
1.585, 13.4
1.568, 13.5
1.185, 10.3

Cell and atoms:
```
11
Lattice="3.3435 -5.7990 0.0000 3.3435 5.7990 0.0000 -2.2365 0.0000 11.9989" Properties=species:S:1:pos:R:3 pbc="T T T"
Ac 1.1101 1.9278 2.9344
Ac -0.0167 0.0000 9.0678
Ac 1.1101 -1.9278 2.9344
Ac 3.3404 1.9278 9.0645
Ac 4.4672 0.0000 2.9311
Ac 3.3404 -1.9278 9.0645
Pm 3.3435 1.9333 0.0000
Pm 3.3435 -1.9333 0.0000
Nd 2.2253 3.8690 5.9995
Nd 2.2253 0.0000 5.9995
Nd 2.2253 -3.8690 5.9995
```

=====

3.
Simulated powder diffractogram of PmDy2Mg5 for Cu Kα (λ = 1.5418 Å), from the PBE geometry in Alexandria.
Neutral-atom scattering factors, no anomalous dispersion.

Peak list (10 most intense, 2θ = 15–90°, low angle first)
d [Å], I (rel.)
4.984, 15.0
3.801, 26.4
3.731, 52.2
3.655, 18.9
2.663, 100.0
2.638, 50.3
2.167, 23.6
1.865, 18.2
1.542, 17.5
1.528, 36.3

Cell and atoms:
```
8
Lattice="-2.6379 2.6379 7.6026 2.6379 -2.6379 7.6026 2.6379 2.6379 -7.6026" Properties=species:S:1:pos:R:3 pbc="T T T"
Pm 0.0000 0.0000 0.0000
Dy 0.0000 0.0000 3.9239
Dy 0.0000 0.0000 11.2812
Mg 2.6379 0.0000 1.8475
Mg 2.6379 0.0000 5.7551
Mg 0.0000 0.0000 7.6026
Mg 0.0000 2.6379 1.8475
Mg 0.0000 2.6379 5.7551
```

=====

4.
Simulated powder diffractogram of DySi2Pd6 for Cu Kα (λ = 1.5418 Å), from the PBE geometry in Alexandria.
Neutral-atom scattering factors, no anomalous dispersion.

Peak list (10 most intense, 2θ = 15–90°, low angle first)
d [Å], I (rel.)
3.826, 23.8
3.160, 16.8
2.640, 46.6
2.404, 100.0
2.247, 27.5
2.085, 37.1
1.929, 16.5
1.913, 35.2
1.575, 19.3
1.388, 21.2

Cell and atoms:
```
9
Lattice="5.5516 0.0000 0.0000 -2.7758 4.8078 0.0000 0.0000 0.0000 6.3192" Properties=species:S:1:pos:R:3 pbc="T T T"
Dy 0.0000 0.0000 0.0000
Si 0.0000 3.2052 3.1596
Si 2.7758 1.6026 3.1596
Pd -1.3879 2.4039 1.3754
Pd -1.3879 2.4039 4.9437
Pd 2.7758 0.0000 1.3754
Pd 2.7758 0.0000 4.9437
Pd 1.3879 2.4039 1.3754
Pd 1.3879 2.4039 4.9437
```

=====

5.
Simulated powder diffractogram of Ba8Rh3Br for Cu Kα (λ = 1.5418 Å), from the PBE geometry in Alexandria.
Neutral-atom scattering factors, no anomalous dispersion.

Peak list (10 most intense, 2θ = 15–90°, low angle first)
d [Å], I (rel.)
3.973, 10.5
3.792, 28.6
3.258, 100.0
2.485, 11.9
2.332, 38.4
2.277, 34.5
2.223, 9.5
1.896, 19.5
1.472, 12.1
1.445, 9.2

Cell and atoms:
```
12
Lattice="7.8226 -4.6659 0.0000 7.8226 4.6659 0.0000 -5.0676 0.0000 7.5885" Properties=species:S:1:pos:R:3 pbc="T T T"
Ba 3.8402 2.5051 5.6593
Ba 2.5286 0.0000 1.9457
Ba 0.1926 0.0000 5.4430
Ba 6.7375 2.5051 1.9293
Ba 3.8402 -2.5051 5.6593
Ba 10.3850 0.0000 2.1455
Ba 8.0491 0.0000 5.6428
Ba 6.7375 -2.5051 1.9293
Rh 0.0000 0.0000 0.0000
Rh 1.3775 2.3330 3.7943
Rh 1.3775 -2.3330 3.7943
Br 7.8226 0.0000 0.0000
```

=====

6.
Simulated powder diffractogram of TmTl2Cl6 for Cu Kα (λ = 1.5418 Å), from the PBE geometry in Alexandria.
Neutral-atom scattering factors, no anomalous dispersion.

Peak list (10 most intense, 2θ = 15–90°, low angle first)
d [Å], I (rel.)
4.319, 100.0
3.940, 34.8
3.432, 19.8
3.361, 36.0
2.865, 24.8
2.722, 27.5
2.588, 51.7
2.341, 28.2
2.303, 26.8
1.750, 20.4

Cell and atoms:
```
9
Lattice="3.8279 0.0000 0.0000 0.0000 7.7443 3.9404 0.0000 -7.7443 3.9404" Properties=species:S:1:pos:R:3 pbc="T T T"
Tm 0.0000 0.0000 0.0000
Tl 1.9140 -2.6043 4.1979
Tl 1.9140 2.6043 4.1979
Cl 0.0000 -3.3352 1.9914
Cl 0.0000 3.3352 1.9914
Cl 0.0000 0.0000 5.1181
Cl 1.9140 -5.9804 3.3241
Cl 1.9140 0.0000 2.0053
Cl 1.9140 5.9804 3.3241
```

=====

7.
Simulated powder diffractogram of PaZn11Ge for Cu Kα (λ = 1.5418 Å), from the PBE geometry in Alexandria.
Neutral-atom scattering factors, no anomalous dispersion.

Peak list (10 most intense, 2θ = 15–90°, low angle first)
d [Å], I (rel.)
2.702, 38.7
2.610, 55.9
2.562, 52.1
2.328, 88.2
2.282, 71.2
2.260, 55.7
2.250, 53.1
2.235, 53.1
2.209, 100.0
2.185, 45.6

Cell and atoms:
```
13
Lattice="2.7028 -6.3327 0.0000 2.7028 6.3327 0.0000 -2.5121 0.0000 6.1662" Properties=species:S:1:pos:R:3 pbc="T T T"
Pa 0.0000 0.0000 0.0000
Zn 1.3514 3.1664 0.0000
Zn 0.1164 2.2712 2.1730
Zn 0.2130 1.3705 4.8649
Zn 0.1164 -2.2712 2.1730
Zn 2.6806 1.3705 1.3013
Zn 1.3514 -3.1664 0.0000
Zn 1.4468 0.0000 3.0831
Zn 0.2130 -1.3705 4.8649
Zn 2.7772 2.2712 3.9932
Zn 2.6806 -1.3705 1.3013
Zn 2.7772 -2.2712 3.9932
Ge -1.2560 0.0000 3.0831
```

=====

8.
Simulated powder diffractogram of Ba2Sr5 for Cu Kα (λ = 1.5418 Å), from the PBE geometry in Alexandria.
Neutral-atom scattering factors, no anomalous dispersion.

Peak list (10 most intense, 2θ = 15–90°, low angle first)
d [Å], I (rel.)
3.532, 100.0
3.067, 17.4
3.054, 34.4
2.164, 25.8
2.160, 13.0
1.848, 15.8
1.843, 31.3
1.404, 12.8
1.367, 7.4
1.177, 7.3

Cell and atoms:
```
7
Lattice="6.8344 -3.0567 0.0000 6.8344 3.0567 0.0000 -1.4086 0.0000 9.5867" Properties=species:S:1:pos:R:3 pbc="T T T"
Ba 0.6869 0.0000 2.0767
Ba 11.5733 0.0000 7.5100
Sr 2.0098 0.0000 6.1597
Sr 4.7678 0.0000 0.6844
Sr 6.1301 0.0000 4.7933
Sr 7.4924 0.0000 8.9023
Sr 10.2504 0.0000 3.4270
```

=====

9.
Simulated powder diffractogram of Ca3Ga4Pd4 for Cu Kα (λ = 1.5418 Å), from the PBE geometry in Alexandria.
Neutral-atom scattering factors, no anomalous dispersion.

Peak list (10 most intense, 2θ = 15–90°, low angle first)
d [Å], I (rel.)
4.027, 83.6
3.899, 39.0
2.743, 75.3
2.708, 100.0
2.183, 61.3
2.076, 53.3
2.038, 50.7
1.958, 82.3
1.708, 34.8
1.490, 35.7

Cell and atoms:
```
11
Lattice="-2.0383 2.1834 12.9814 2.0383 -2.1834 12.9814 2.0383 2.1834 -12.9814" Properties=species:S:1:pos:R:3 pbc="T T T"
Ca 0.0000 0.0000 0.0000
Ca 2.0383 0.0000 9.1994
Ca 0.0000 2.1834 3.7820
Ga 2.0383 0.0000 2.5243
Ga 0.0000 0.0000 6.5494
Ga 0.0000 0.0000 19.4133
Ga 0.0000 2.1834 10.4570
Pd 2.0383 0.0000 5.0235
Pd 0.0000 0.0000 11.6242
Pd 0.0000 0.0000 14.3386
Pd 0.0000 2.1834 7.9579
```

=====

10.
Simulated powder diffractogram of PaZn17Ag for Cu Kα (λ = 1.5418 Å), from the PBE geometry in Alexandria.
Neutral-atom scattering factors, no anomalous dispersion.

Peak list (10 most intense, 2θ = 15–90°, low angle first)
d [Å], I (rel.)
3.059, 12.6
2.583, 31.2
2.525, 28.3
2.235, 100.0
2.220, 15.7
2.198, 25.9
1.998, 27.1
1.414, 11.1
1.292, 15.0
1.284, 17.7

Cell and atoms:
```
19
Lattice="4.4747 2.5834 4.4392 -4.4747 2.5834 4.4392 0.0000 -5.1669 4.4392" Properties=species:S:1:pos:R:3 pbc="T T T"
Pa 0.0000 0.0000 0.0000
Zn 0.0000 -2.5623 2.3348
Zn -2.2191 1.2812 2.3348
Zn -2.2847 -1.3191 6.7305
Zn 0.0000 -2.5981 6.4284
Zn -2.2500 1.2990 6.4284
Zn -1.3107 -2.4337 8.8724
Zn -2.7630 0.0817 8.8724
Zn 2.2191 1.2812 2.3348
Zn 0.0000 0.0000 7.4861
Zn 1.3107 -2.4337 8.8724
Zn -1.4523 2.3519 8.8724
Zn 2.2847 -1.3191 6.7305
Zn 0.0000 2.6381 6.7305
Zn 0.0000 0.0000 10.1499
Zn 2.2500 1.2990 6.4284
Zn 2.7630 0.0817 8.8724
Zn 1.4523 2.3520 8.8724
Ag 0.0000 0.0000 3.3403
```

=====

11.
Simulated powder diffractogram of La3Y7Tm2 for Cu Kα (λ = 1.5418 Å), from the PBE geometry in Alexandria.
Neutral-atom scattering factors, no anomalous dispersion.

Peak list (10 most intense, 2θ = 15–90°, low angle first)
d [Å], I (rel.)
3.000, 46.1
2.929, 68.7
2.880, 81.7
2.857, 40.2
2.825, 80.4
2.724, 100.0
2.603, 46.6
2.009, 29.0
1.641, 30.1
1.538, 25.1

Cell and atoms:
```
12
Lattice="3.6656 0.0000 0.0000 0.0000 5.6508 0.0000 -1.8364 0.0000 20.5264" Properties=species:S:1:pos:R:3 pbc="T T T"
La 0.0000 0.0000 0.0000
La -0.0041 2.8254 13.5377
La 1.8333 2.8254 6.9887
Y 0.0016 2.8254 3.5085
Y -0.0019 0.0000 8.8447
Y -0.0051 0.0000 17.7248
Y 1.8328 2.8254 0.0000
Y 1.8343 0.0000 2.8017
Y 1.8311 0.0000 11.6817
Y 1.8276 2.8254 17.0179
Tm 0.0018 0.0000 5.6165
Tm 1.8274 0.0000 14.9100
```

=====

12.
Simulated powder diffractogram of Pm2SmO4 for Cu Kα (λ = 1.5418 Å), from the PBE geometry in Alexandria.
Neutral-atom scattering factors, no anomalous dispersion.

Peak list (10 most intense, 2θ = 15–90°, low angle first)
d [Å], I (rel.)
3.171, 42.2
3.067, 100.0
3.055, 43.1
3.038, 50.0
2.537, 54.3
2.056, 16.0
1.976, 28.1
1.919, 26.6
1.759, 27.9
1.535, 24.7

Cell and atoms:
```
7
Lattice="6.1176 -1.7765 0.0000 6.1176 1.7765 0.0000 -2.7938 0.0000 5.4008" Properties=species:S:1:pos:R:3 pbc="T T T"
Pm 1.8895 0.0000 1.0844
Pm 7.5519 0.0000 4.3164
Sm 4.7207 0.0000 2.7004
O 0.3203 0.0000 2.8219
O 4.2781 0.0000 0.4012
O 5.1634 0.0000 4.9996
O 9.1211 0.0000 2.5789
```

=====

13.
Simulated powder diffractogram of Cs2Tl5Cd12 for Cu Kα (λ = 1.5418 Å), from the PBE geometry in Alexandria.
Neutral-atom scattering factors, no anomalous dispersion.

Peak list (10 most intense, 2θ = 15–90°, low angle first)
d [Å], I (rel.)
3.218, 36.2
2.787, 89.5
2.734, 89.9
2.660, 24.1
2.614, 33.3
2.591, 32.0
2.454, 100.0
2.350, 27.2
1.609, 35.8
1.522, 26.8

Cell and atoms:
```
19
Lattice="5.5731 3.2176 5.1820 -5.5731 3.2176 5.1820 0.0000 -6.4353 5.1820" Properties=species:S:1:pos:R:3 pbc="T T T"
Cs 0.0000 0.0000 2.4857
Cs 0.0000 0.0000 13.0604
Tl -2.7866 -1.6088 5.1820
Tl 0.0000 0.0000 6.2024
Tl -2.7866 1.6088 10.3641
Tl 0.0000 3.2176 5.1820
Tl 0.0000 0.0000 9.3438
Cd 0.0000 -3.3346 5.0095
Cd -2.8879 1.6673 5.0095
Cd -1.6981 -2.9412 7.7731
Cd -3.3962 0.0000 7.7731
Cd -2.8879 -1.6673 10.5366
Cd 1.6981 -2.9412 7.7731
Cd -1.6981 2.9412 7.7731
Cd 2.8879 1.6673 5.0095
Cd 3.3962 0.0000 7.7731
Cd 1.6981 2.9412 7.7731
Cd 2.8879 -1.6673 10.5366
Cd 0.0000 3.3346 10.5366
```